Entry 1:
For TmGaHg, a crystal structure in Alexandria, relaxed with GGA-PBE gives the theoretical powder X-ray diffraction pattern in this record (Cu Kα).

Structural model:
```
data_TmGaHg
_space_group_name_H-M_alt 'P 1'
_space_group_IT_number 1
_cell_length_a 5.8031
_cell_length_b 5.8031
_cell_length_c 7.1799
_cell_angle_alpha 126.49
_cell_angle_beta 126.49
_cell_angle_gamma 45.41
loop_
_space_group_symop_operation_xyz
'x,y,z'
loop_
_atom_site_label
_atom_site_type_symbol
_atom_site_fract_x
_atom_site_fract_y
_atom_site_fract_z
Tm1 Tm 0.0450 0.0450 0.2954
Tm2 Tm 0.9550 0.9550 0.7046
Ga1 Ga 0.3457 0.3457 0.3416
Ga2 Ga 0.6543 0.6543 0.6584
Hg1 Hg 0.3289 0.3289 0.9020
Hg2 Hg 0.6711 0.6711 0.0980
```

The 10 most intense peaks (2θ = 10–90°), in order of rising 2θ:
2theta	Rel. int.
23.4	17
32.4	39
33.5	100
33.8	41
34.8	17
38.6	63
40.3	38
53.5	23
56.8	14
72.1	18

=====

Entry 2:
For YGaHg, a crystal structure in Alexandria, relaxed with GGA-PBE gives the theoretical powder X-ray diffraction pattern in this record (Cu Kα).

Structural model:
```
data_YGaHg
_space_group_name_H-M_alt 'P 1'
_space_group_IT_number 1
_cell_length_a 4.7000
_cell_length_b 4.7000
_cell_length_c 4.7000
_cell_angle_alpha 60.00
_cell_angle_beta 60.00
_cell_angle_gamma 60.00
loop_
_space_group_symop_operation_xyz
'x,y,z'
loop_
_atom_site_label
_atom_site_type_symbol
_atom_site_fract_x
_atom_site_fract_y
_atom_site_fract_z
Y1 Y 0.0000 0.0000 0.0000
Ga1 Ga 0.7500 0.7500 0.7500
Hg1 Hg 0.5000 0.5000 0.5000
```

The 10 most intense peaks (2θ = 10–90°), in order of rising 2θ:
2theta	Rel. int.
23.2	31
26.8	45
38.3	100
45.2	17
47.4	13
55.3	17
62.5	17
69.2	35
82.0	11
88.2	9

=====

Entry 3:
For YGa4Hg, a crystal structure in Alexandria, relaxed with GGA-PBE gives the theoretical powder X-ray diffraction pattern in this record (Cu Kα).

Structural model:
```
data_YGa4Hg
_space_group_name_H-M_alt 'P 1'
_space_group_IT_number 1
_cell_length_a 5.5944
_cell_length_b 5.5944
_cell_length_c 5.5944
_cell_angle_alpha 60.00
_cell_angle_beta 60.00
_cell_angle_gamma 60.00
loop_
_space_group_symop_operation_xyz
'x,y,z'
loop_
_atom_site_label
_atom_site_type_symbol
_atom_site_fract_x
_atom_site_fract_y
_atom_site_fract_z
Y1 Y 0.0000 0.0000 0.0000
Ga1 Ga 0.3748 0.3748 0.3748
Ga2 Ga 0.3748 0.3748 0.8755
Ga3 Ga 0.3748 0.8755 0.3748
Ga4 Ga 0.8755 0.3748 0.3748
Hg1 Hg 0.7500 0.7500 0.7500
```

The 10 most intense peaks (2θ = 10–90°), in order of rising 2θ:
2theta	Rel. int.
19.4	12
22.5	8
32.0	50
37.7	100
39.5	22
57.0	20
60.8	33
66.9	24
76.1	8
79.4	11

=====

Entry 4:
For Zn3Ga3Hg, a crystal structure in Alexandria, relaxed with GGA-PBE gives the theoretical powder X-ray diffraction pattern in this record (Cu Kα).

Structural model:
```
data_Zn3Ga3Hg
_space_group_name_H-M_alt 'P 1'
_space_group_IT_number 1
_cell_length_a 7.1833
_cell_length_b 7.1833
_cell_length_c 7.1833
_cell_angle_alpha 90.00
_cell_angle_beta 90.00
_cell_angle_gamma 90.00
loop_
_space_group_symop_operation_xyz
'x,y,z'
loop_
_atom_site_label
_atom_site_type_symbol
_atom_site_fract_x
_atom_site_fract_y
_atom_site_fract_z
Zn1 Zn 0.0000 0.2500 0.5000
Zn2 Zn 0.0000 0.7500 0.5000
Zn3 Zn 0.2500 0.5000 0.0000
Zn4 Zn 0.5000 0.0000 0.2500
Zn5 Zn 0.5000 0.0000 0.7500
Zn6 Zn 0.7500 0.5000 0.0000
Ga1 Ga 0.0000 0.5000 0.2500
Ga2 Ga 0.0000 0.5000 0.7500
Ga3 Ga 0.2500 0.0000 0.5000
Ga4 Ga 0.5000 0.2500 0.0000
Ga5 Ga 0.5000 0.7500 0.0000
Ga6 Ga 0.7500 0.0000 0.5000
Hg1 Hg 0.0000 0.0000 0.0000
Hg2 Hg 0.5000 0.5000 0.5000
```

The 10 most intense peaks (2θ = 10–90°), in order of rising 2θ:
2theta	Rel. int.
24.8	42
30.5	100
47.4	59
50.8	20
57.4	17
60.4	14
72.0	17
74.8	12
80.2	8
82.8	18